# 1
Theoretical powder diffractogram of Sm2Ni3Rh for CuKα, from a GGA-PBE-relaxed structure.
Neutral-atom scattering factors, no anomalous dispersion.

Top 10 peaks for 2θ from 10° to 90°, in order of rising 2θ:
2θ = 33.98°, I 39; 2θ = 34.98°, I 63; 2θ = 39.92°, I 59; 2θ = 40.79°, I 100; 2θ = 41.24°, I 41; 2θ = 42.99°, I 29; 2θ = 66.07°, I 26; 2θ = 66.69°, I 23; 2θ = 71.53°, I 23; 2θ = 73.90°, I 21

Cell and atoms:
Cell: 5.2802 5.2802 5.2802 Å, 58.12 58.12 58.12°
Element x y z (fractional)
Sm  0.1230  0.1230  0.1230
Sm  0.8770  0.8770  0.8770
Ni  0.0000  0.5000  0.5000
Ni  0.5000  0.0000  0.5000
Ni  0.5000  0.5000  0.0000
Rh  0.5000  0.5000  0.5000

***

# 2
Theoretical powder diffractogram of LiHo2ThAu4 for CuKα, from a GGA-PBE-relaxed structure.
Neutral-atom scattering factors, no anomalous dispersion.

Top 10 peaks for 2θ from 10° to 90°, in order of rising 2θ:
2θ = 20.90°, I 11; 2θ = 27.15°, I 17; 2θ = 35.14°, I 86; 2θ = 36.08°, I 100; 2θ = 51.25°, I 30; 2θ = 64.27°, I 30; 2θ = 64.87°, I 19; 2θ = 76.53°, I 12; 2θ = 77.93°, I 9; 2θ = 87.09°, I 14

Cell and atoms:
Cell: 8.9260 8.9260 8.9260 Å, 32.39 32.39 32.39°
Element x y z (fractional)
Li  0.0000  0.0000  0.0000
Ho  0.2621  0.2621  0.2621
Ho  0.7379  0.7379  0.7379
Th  0.5000  0.5000  0.5000
Au  0.1125  0.1125  0.1125
Au  0.3794  0.3794  0.3794
Au  0.6206  0.6206  0.6206
Au  0.8875  0.8875  0.8875

***

# 3
Theoretical powder diffractogram of Rb2ErHgBr6 for CuKα, from a GGA-PBE-relaxed structure.
Neutral-atom scattering factors, no anomalous dispersion.

Top 10 peaks for 2θ from 10° to 90°, in order of rising 2θ:
2θ = 15.12°, I 78; 2θ = 15.23°, I 43; 2θ = 21.53°, I 68; 2θ = 30.51°, I 100; 2θ = 30.75°, I 56; 2θ = 34.27°, I 21; 2θ = 34.43°, I 28; 2θ = 38.52°, I 21; 2θ = 43.86°, I 66; 2θ = 45.23°, I 21

Cell and atoms:
Cell: 8.0189 11.6315 8.5860 Å, 90.00 90.00 90.00°
Element x y z (fractional)
Rb  0.2500  0.0316  0.2011
Rb  0.2500  0.4684  0.2011
Rb  0.7500  0.5316  0.7989
Rb  0.7500  0.9684  0.7989
Er  0.2500  0.7500  0.7759
Er  0.7500  0.2500  0.2241
Hg  0.2500  0.2500  0.7161
Hg  0.7500  0.7500  0.2839
Br  0.0045  0.2500  0.4412
Br  0.0088  0.7500  0.0100
Br  0.2500  0.5112  0.7841
Br  0.2500  0.9888  0.7841
Br  0.4912  0.7500  0.0100
Br  0.4955  0.2500  0.4412
Br  0.5045  0.7500  0.5588
Br  0.5088  0.2500  0.9900
Br  0.7500  0.0112  0.2159
Br  0.7500  0.4888  0.2159
Br  0.9912  0.2500  0.9900
Br  0.9955  0.7500  0.5588

***

# 4
Theoretical powder diffractogram of LiPd2Pt3 for CuKα, from a GGA-PBE-relaxed structure.
Neutral-atom scattering factors, no anomalous dispersion.

Top 10 peaks for 2θ from 10° to 90°, in order of rising 2θ:
2θ = 20.42°, I 66; 2θ = 38.46°, I 14; 2θ = 39.67°, I 100; 2θ = 40.02°, I 99; 2θ = 42.86°, I 15; 2θ = 46.24°, I 33; 2θ = 46.39°, I 64; 2θ = 67.58°, I 42; 2θ = 81.19°, I 37; 2θ = 81.88°, I 25

Cell and atoms:
Cell: 9.2339 8.7982 4.7941 Å, 79.67 69.62 30.72°
Element x y z (fractional)
Li  0.1250  0.1250  0.1250
Li  0.8750  0.8750  0.8750
Pd  0.0459  0.0459  0.7041
Pd  0.2959  0.2959  0.9541
Pd  0.7041  0.7041  0.0459
Pd  0.9541  0.9541  0.2959
Pt  0.2110  0.2110  0.5390
Pt  0.3750  0.3750  0.3750
Pt  0.4610  0.4610  0.7890
Pt  0.5390  0.5390  0.2110
Pt  0.6250  0.6250  0.6250
Pt  0.7890  0.7890  0.4610

***

# 5
Theoretical powder diffractogram of Cs4Cd3 for CuKα, from a GGA-PBE-relaxed structure.
Neutral-atom scattering factors, no anomalous dispersion.

Top 10 peaks for 2θ from 10° to 90°, in order of rising 2θ:
2θ = 22.94°, I 100; 2θ = 23.66°, I 17; 2θ = 24.77°, I 42; 2θ = 27.30°, I 20; 2θ = 30.18°, I 58; 2θ = 43.20°, I 17; 2θ = 44.44°, I 33; 2θ = 46.87°, I 13; 2θ = 49.43°, I 14; 2θ = 63.68°, I 13

Cell and atoms:
Cell: 15.6542 15.6542 5.9307 Å, 90.00 90.00 120.00°
Element x y z (fractional)
Cs  0.0180  0.2492  0.2439
Cs  0.1330  0.6164  0.2490
Cs  0.2312  0.9820  0.2439
Cs  0.2492  0.2312  0.7561
Cs  0.3836  0.5166  0.2490
Cs  0.4834  0.8670  0.2490
Cs  0.5166  0.1330  0.7510
Cs  0.6164  0.4834  0.7510
Cs  0.7508  0.7688  0.2439
Cs  0.7688  0.0180  0.7561
Cs  0.8670  0.3836  0.7510
Cs  0.9820  0.7508  0.7561
Cd  0.0000  0.0000  0.5000
Cd  0.1741  0.4511  0.7465
Cd  0.2770  0.8259  0.7465
Cd  0.3333  0.6667  0.7490
Cd  0.4511  0.2770  0.2535
Cd  0.5489  0.7230  0.7465
Cd  0.6667  0.3333  0.2510
Cd  0.7230  0.1741  0.2535
Cd  0.8259  0.5489  0.2535

***

# 6
Theoretical powder diffractogram of Th2ZnGa12 for CuKα, from a GGA-PBE-relaxed structure.
Neutral-atom scattering factors, no anomalous dispersion.

Top 10 peaks for 2θ from 10° to 90°, in order of rising 2θ:
2θ = 11.75°, I 17; 2θ = 19.92°, I 21; 2θ = 30.75°, I 100; 2θ = 31.09°, I 67; 2θ = 37.20°, I 38; 2θ = 40.47°, I 60; 2θ = 41.27°, I 38; 2θ = 51.90°, I 38; 2θ = 59.18°, I 14; 2θ = 68.56°, I 21

Cell and atoms:
Cell: 6.3039 6.3039 15.0622 Å, 90.00 90.00 90.00°
Element x y z (fractional)
Th  0.2500  0.7500  0.2445
Th  0.2500  0.7500  0.7555
Th  0.7500  0.2500  0.2445
Th  0.7500  0.2500  0.7555
Zn  0.2500  0.7500  0.0000
Zn  0.7500  0.2500  0.0000
Ga  0.0006  0.5006  0.0884
Ga  0.0006  0.9994  0.9116
Ga  0.0790  0.5790  0.5723
Ga  0.0790  0.9210  0.4277
Ga  0.2500  0.2500  0.1795
Ga  0.2500  0.2500  0.3425
Ga  0.2500  0.2500  0.6575
Ga  0.2500  0.2500  0.8205
Ga  0.4210  0.5790  0.4277
Ga  0.4210  0.9210  0.5723
Ga  0.4994  0.5006  0.9116
Ga  0.4994  0.9994  0.0884
Ga  0.5006  0.0006  0.9116
Ga  0.5006  0.4994  0.0884
Ga  0.5790  0.0790  0.4277
Ga  0.5790  0.4210  0.5723
Ga  0.7500  0.7500  0.1795
Ga  0.7500  0.7500  0.3425
Ga  0.7500  0.7500  0.6575
Ga  0.7500  0.7500  0.8205
Ga  0.9210  0.0790  0.5723
Ga  0.9210  0.4210  0.4277
Ga  0.9994  0.0006  0.0884
Ga  0.9994  0.4994  0.9116

***

# 7
Theoretical powder diffractogram of Sm4URu4 for CuKα, from a GGA-PBE-relaxed structure.
Neutral-atom scattering factors, no anomalous dispersion.

Top 10 peaks for 2θ from 10° to 90°, in order of rising 2θ:
2θ = 17.95°, I 36; 2θ = 27.60°, I 33; 2θ = 29.83°, I 50; 2θ = 31.96°, I 78; 2θ = 33.08°, I 60; 2θ = 33.73°, I 100; 2θ = 35.41°, I 33; 2θ = 38.45°, I 44; 2θ = 38.99°, I 53; 2θ = 48.29°, I 32

Cell and atoms:
Cell: 8.0684 5.8861 11.3320 Å, 90.00 126.68 90.00°
Element x y z (fractional)
Sm  0.1752  0.1342  0.1908
Sm  0.1752  0.8658  0.6908
Sm  0.2560  0.3662  0.9220
Sm  0.2560  0.6338  0.4220
Sm  0.7440  0.3662  0.5780
Sm  0.7440  0.6338  0.0780
Sm  0.8248  0.1342  0.3092
Sm  0.8248  0.8658  0.8092
U  0.5000  0.3034  0.7500
U  0.5000  0.6966  0.2500
Ru  0.1379  0.3628  0.6081
Ru  0.1379  0.6372  0.1081
Ru  0.3598  0.1189  0.5169
Ru  0.3598  0.8811  0.0169
Ru  0.6402  0.1189  0.9831
Ru  0.6402  0.8811  0.4831
Ru  0.8621  0.3628  0.8919
Ru  0.8621  0.6372  0.3919

***

# 8
Theoretical powder diffractogram of Cu9O13 for CuKα, from a GGA-PBE-relaxed structure.
Neutral-atom scattering factors, no anomalous dispersion.

Top 10 peaks for 2θ from 10° to 90°, in order of rising 2θ:
2θ = 11.00°, I 100; 2θ = 18.21°, I 19; 2θ = 35.62°, I 33; 2θ = 35.76°, I 31; 2θ = 36.45°, I 20; 2θ = 41.76°, I 21; 2θ = 42.40°, I 17; 2θ = 43.11°, I 26; 2θ = 45.17°, I 20; 2θ = 74.71°, I 18

Cell and atoms:
Cell: 5.1456 5.1456 16.2860 Å, 98.57 98.57 33.25°
Element x y z (fractional)
Cu  0.0000  0.0000  0.0000
Cu  0.1489  0.1489  0.5427
Cu  0.2498  0.2498  0.9166
Cu  0.4426  0.4426  0.6231
Cu  0.4963  0.4963  0.8297
Cu  0.5037  0.5037  0.1703
Cu  0.5574  0.5574  0.3769
Cu  0.7502  0.7502  0.0834
Cu  0.8511  0.8511  0.4573
O  0.0726  0.0726  0.6394
O  0.1050  0.1050  0.1125
O  0.1200  0.1200  0.8217
O  0.1966  0.1966  0.4316
O  0.3652  0.3652  0.0264
O  0.3855  0.3855  0.7253
O  0.5000  0.5000  0.5000
O  0.6145  0.6145  0.2747
O  0.6348  0.6348  0.9736
O  0.8034  0.8034  0.5684
O  0.8800  0.8800  0.1783
O  0.8950  0.8950  0.8875
O  0.9274  0.9274  0.3606

***

# 9
Theoretical powder diffractogram of CePH2Pd2 for CuKα, from a GGA-PBE-relaxed structure.
Neutral-atom scattering factors, no anomalous dispersion.

Top 10 peaks for 2θ from 10° to 90°, in order of rising 2θ:
2θ = 24.05°, I 52; 2θ = 34.17°, I 78; 2θ = 35.92°, I 100; 2θ = 36.88°, I 92; 2θ = 45.89°, I 54; 2θ = 49.11°, I 14; 2θ = 58.43°, I 39; 2θ = 62.29°, I 14; 2θ = 77.77°, I 20; 2θ = 79.52°, I 19

Cell and atoms:
Cell: 5.9715 5.9715 5.5034 Å, 90.00 90.00 123.13°
Element x y z (fractional)
Ce  0.2360  0.7640  0.7500
Ce  0.7640  0.2360  0.2500
P  0.3415  0.6585  0.2500
P  0.6585  0.3415  0.7500
H  0.0977  0.2991  0.7500
H  0.2991  0.0977  0.2500
H  0.7009  0.9023  0.7500
H  0.9023  0.7009  0.2500
Pd  0.2480  0.2480  0.0000
Pd  0.2480  0.2480  0.5000
Pd  0.7520  0.7520  0.0000
Pd  0.7520  0.7520  0.5000

***

# 10
Theoretical powder diffractogram of CuNi5Rh for CuKα, from a GGA-PBE-relaxed structure.
Neutral-atom scattering factors, no anomalous dispersion.

Top 10 peaks for 2θ from 10° to 90°, in order of rising 2θ:
2θ = 18.03°, I 17; 2θ = 30.81°, I 20; 2θ = 43.72°, I 11; 2θ = 44.64°, I 100; 2θ = 46.03°, I 14; 2θ = 47.86°, I 21; 2θ = 50.83°, I 18; 2θ = 72.38°, I 11; 2θ = 79.92°, I 10; 2θ = 86.93°, I 12

Cell and atoms:
Cell: 6.1463 6.1463 6.1463 Å, 108.46 103.59 116.64°
Element x y z (fractional)
Cu  0.2971  0.0471  0.2500
Cu  0.7029  0.9529  0.7500
Ni  0.0000  0.2513  0.2513
Ni  0.0000  0.7487  0.7487
Ni  0.2303  0.7486  0.4817
Ni  0.2331  0.2514  0.9817
Ni  0.2876  0.5376  0.7500
Ni  0.5000  0.2513  0.7513
Ni  0.5000  0.7487  0.2487
Ni  0.7124  0.4624  0.2500
Ni  0.7669  0.7486  0.0183
Ni  0.7697  0.2514  0.5183
Rh  0.0000  0.0000  0.5000
Rh  0.0000  0.5000  0.0000

***

# 11
Theoretical powder diffractogram of Ce8InGa2 for CuKα, from a GGA-PBE-relaxed structure.
Neutral-atom scattering factors, no anomalous dispersion.

Top 10 peaks for 2θ from 10° to 90°, in order of rising 2θ:
2θ = 24.31°, I 26; 2θ = 25.23°, I 8; 2θ = 34.19°, I 100; 2θ = 34.85°, I 14; 2θ = 35.69°, I 24; 2θ = 36.28°, I 28; 2θ = 51.80°, I 17; 2θ = 59.88°, I 10; 2θ = 63.16°, I 11; 2θ = 63.93°, I 16

Cell and atoms:
Cell: 8.8562 8.8562 8.8562 Å, 147.52 127.49 63.11°
Element x y z (fractional)
Ce  0.1127  0.3335  0.7791
Ce  0.1889  0.1889  0.0000
Ce  0.3249  0.0000  0.3249
Ce  0.4456  0.6665  0.7791
Ce  0.5544  0.3335  0.2209
Ce  0.6751  0.0000  0.6751
Ce  0.8111  0.8111  0.0000
Ce  0.8873  0.6665  0.2209
In  0.0000  0.5000  0.5000
Ga  0.3149  0.8149  0.5000
Ga  0.6851  0.1851  0.5000

***

# 12
Theoretical powder diffractogram of Tb3Er4Bi8 for CuKα, from a GGA-PBE-relaxed structure.
Neutral-atom scattering factors, no anomalous dispersion.

Top 10 peaks for 2θ from 10° to 90°, in order of rising 2θ:
2θ = 24.52°, I 6; 2θ = 28.39°, I 100; 2θ = 40.57°, I 65; 2θ = 40.64°, I 13; 2θ = 50.27°, I 28; 2θ = 58.74°, I 13; 2θ = 66.48°, I 25; 2θ = 66.56°, I 12; 2θ = 73.78°, I 14; 2θ = 73.90°, I 14

Cell and atoms:
Cell: 8.8902 8.8902 8.8805 Å, 119.94 119.94 90.03°
Element x y z (fractional)
Tb  0.0000  0.0000  0.0000
Tb  0.0000  0.5000  0.0000
Tb  0.5000  0.0000  0.0000
Er  0.0000  0.5000  0.5000
Er  0.5000  0.0000  0.5000
Er  0.5000  0.5000  0.0000
Er  0.5000  0.5000  0.5000
Bi  0.2461  0.7539  0.5000
Bi  0.2472  0.2472  0.5026
Bi  0.2475  0.2475  0.9924
Bi  0.2511  0.7489  0.0000
Bi  0.7489  0.2511  0.0000
Bi  0.7525  0.7525  0.0076
Bi  0.7528  0.7528  0.4974
Bi  0.7539  0.2461  0.5000